Diffraction record for Na3Pu3GaO8. The powder X-ray diffraction pattern is simulated, not measured: it uses a DFT-relaxed cell (GGA-PBE, Alexandria) and a wavelength of 1.5418 Å.

Most intense lines, 2θ = 10–80°, sorted by position:
- 2θ 15.88, d 5.580, I = 100.0
- 2θ 30.86, d 2.898, I = 49.3
- 2θ 32.25, d 2.776, I = 48.1
- 2θ 37.36, d 2.407, I = 59.0
- 2θ 40.82, d 2.210, I = 20.5
- 2θ 56.64, d 1.625, I = 21.8

Cell lengths 6.823, 6.823, 6.823 Å; angles 59.72, 59.72, 59.72 degrees
Element x y z (fractional)
Na1 0.000 0.500 0.500
Na2 0.500 0.000 0.500
Na3 0.500 0.500 0.000
Pu1 0.000 0.000 0.500
Pu2 0.000 0.500 0.000
Pu3 0.500 0.000 0.000
Ga1 0.500 0.500 0.500
O1 0.239 0.239 0.239
O2 0.260 0.718 0.718
O3 0.282 0.282 0.740
O4 0.282 0.740 0.282
O5 0.718 0.260 0.718
O6 0.718 0.718 0.260
O7 0.740 0.282 0.282
O8 0.761 0.761 0.761